Structure and computed powder X-ray diffraction pattern of CuAsF6 (a crystal structure in OQMD, relaxed with PBE; Cu Ka).
Neutral-atom scattering factors, no anomalous dispersion.

abc: 7.582 7.582 7.582
angles: 109.47 109.47 109.47
Atoms (fractional coordinates):
1 Cu 0.000 0.000 0.000
2 Cu 0.000 0.500 0.500
3 Cu 0.500 0.000 0.500
4 Cu 0.500 0.500 0.000
5 As 0.000 0.000 0.500
6 As 0.000 0.500 0.000
7 As 0.500 0.000 0.000
8 As 0.500 0.500 0.500
9 F 0.025 0.943 0.716
10 F 0.057 0.284 0.975
11 F 0.082 0.525 0.810
12 F 0.190 0.918 0.475
13 F 0.216 0.273 0.690
14 F 0.227 0.443 0.418
15 F 0.273 0.690 0.216
16 F 0.284 0.975 0.057
17 F 0.310 0.784 0.727
18 F 0.418 0.227 0.443
19 F 0.443 0.418 0.227
20 F 0.475 0.190 0.918
21 F 0.525 0.810 0.082
22 F 0.557 0.582 0.773
23 F 0.582 0.773 0.557
24 F 0.690 0.216 0.273
25 F 0.716 0.025 0.943
26 F 0.727 0.310 0.784
27 F 0.773 0.557 0.582
28 F 0.784 0.727 0.310
29 F 0.810 0.082 0.525
30 F 0.918 0.475 0.190
31 F 0.943 0.716 0.025
32 F 0.975 0.057 0.284

Main lines, in order of rising 2θ (10° ≤ 2θ ≤ 90°):
- 28.84 deg, intensity 1000
- 38.47 deg, intensity 73
- 41.25 deg, intensity 52
- 43.87 deg, intensity 41
- 48.79 deg, intensity 51
- 51.11 deg, intensity 478
- 59.75 deg, intensity 203
- 67.68 deg, intensity 211
- 75.19 deg, intensity 39
- 82.44 deg, intensity 176